The following is a calculated powder X-ray diffraction pattern of AcLa2Pr2Er. It was derived from a structure optimized by DFT (GGA-PBE), using Cu Kα (λ = 1.5418 Å).
Peak positions follow from Bragg's law for the DFT cell and can differ from measured ones.

Peak list (6 most intense, 5° ≤ 2θ ≤ 70°, low angle first)
Position (°2θ)	I/Imax	h k l
29.96	98	0 2 2
30.36	100	2 0 0
43.18	37	2 2 2
53.66	26	1 5 2
53.79	20	0 6 0
59.25	30	2 0 4

Atomic structure:
```
data_AcLa2Pr2Er
_chemical_formula_sum 'Ac2 La4 Pr4 Er2'
_space_group_name_H-M_alt 'P m c 21'
_space_group_IT_number 26
_cell_length_a 5.8787
_cell_length_b 10.2137
_cell_length_c 7.3549
_cell_angle_alpha 90.00
_cell_angle_beta 90.00
_cell_angle_gamma 90.00
loop_
_space_group_symop_operation_xyz
'x,y,z'
'-x,-y,z+1/2'
'-x,y,z'
'x,-y,z+1/2'
loop_
_atom_site_label
_atom_site_type_symbol
_atom_site_fract_x
_atom_site_fract_y
_atom_site_fract_z
Ac1 Ac 0.0000 0.0004 0.0000
La1 La 0.0000 0.3343 0.2509
La2 La 0.5000 0.4994 0.0003
Pr1 Pr 0.0000 0.3359 0.7500
Pr2 Pr 0.5000 0.1704 0.2502
Er1 Er 0.5000 0.1667 0.7497
```